This entry pairs a crystal structure of Ta4Be with its simulated XRD peak list. Radiation: Cu Kα (weighted mean of Kα1 and Kα2). Structure: a cell relaxed with GGA-PBE.
No peak broadening, texture or thermal motion is included.

Structure:
Lattice parameters (Å, degrees): 9.031 9.031 9.031 90.00 90.00 90.00
Space group Fd-3m (No. 227, origin choice 2)
Asymmetric unit:
Ta (0.014, 0.014, 0.236) [32 per cell]
Be (0.125, 0.125, 0.625) [8 per cell]

Principal peaks in the range 15 to 90 degrees two-theta, in order of falling intensity:
| hkl | Position (°2θ) | d [Å] | intensity |
| --- | --- | --- | --- |
| 2 2 2 | 34.4 | 2.607 | 100 |
| 4 0 0 | 39.9 | 2.258 | 48 |
| 6 2 2 | 69.0 | 1.361 | 31 |
| 4 4 0 | 57.8 | 1.596 | 30 |
| 3 3 3 | 52.7 | 1.738 | 14 |
| 1 1 1 | 17.0 | 5.214 | 10 |
| 4 4 4 | 72.5 | 1.303 | 9 |
| 7 3 1 | 81.9 | 1.176 | 8 |

---

This entry pairs a crystal structure of TaBe2 with its simulated XRD peak list. Radiation: Cu Kα (weighted mean of Kα1 and Kα2). Structure: a cell relaxed with GGA-PBE.
No peak broadening, texture or thermal motion is included.

Structure:
Lattice parameters (Å, degrees): 6.524 6.524 6.524 90.00 90.00 90.00
Space group Fd-3m (No. 227, origin choice 2)
Asymmetric unit:
Ta (0.125, 0.125, 0.125) [8 per cell]
Be (0.000, 0.000, 0.500) [16 per cell]

Principal peaks in the range 15 to 90 degrees two-theta, in order of falling intensity:
| hkl | Position (°2θ) | d [Å] | intensity |
| --- | --- | --- | --- |
| 1 1 1 | 23.6 | 3.766 | 100 |
| 2 2 0 | 39.1 | 2.306 | 92 |
| 3 1 1 | 46.2 | 1.967 | 63 |
| 4 2 2 | 70.8 | 1.332 | 33 |
| 3 3 1 | 62.0 | 1.497 | 22 |
| 5 1 1 | 75.8 | 1.255 | 20 |
| 5 3 1 | 88.7 | 1.103 | 17 |
| 4 0 0 | 56.4 | 1.631 | 14 |

---

This entry pairs a crystal structure of Ta2Be17 with its simulated XRD peak list. Radiation: Cu Kα (weighted mean of Kα1 and Kα2). Structure: a cell relaxed with GGA-PBE.
No peak broadening, texture or thermal motion is included.

Structure:
Lattice parameters (Å, degrees): 7.3541 7.3541 10.7484 90.00 90.00 120.00
Space group R-3m (No. 166, hexagonal axes)
Asymmetric unit:
Ta (0.0000, 0.0000, 0.1595) [6 per cell]
Be (0.0000, 0.0000, 0.4008) [6 per cell]
Be (0.0000, 0.2953, 0.5000) [18 per cell]
Be (0.0000, 0.5000, 0.0000) [9 per cell]
Be (0.0057, 0.5029, 0.6563) [18 per cell]

Principal peaks in the range 15 to 90 degrees two-theta, in order of falling intensity:
| hkl | Position (°2θ) | d [Å] | intensity |
| --- | --- | --- | --- |
| 1 1 0 | 24.2 | 3.677 | 100 |
| 1 1 3 | 35.0 | 2.566 | 89 |
| 1 0 1 | 16.2 | 5.479 | 71 |
| 0 3 3 | 49.9 | 1.826 | 42 |
| 0 0 3 | 24.9 | 3.583 | 31 |
| 3 0 0 | 42.6 | 2.123 | 30 |
| 4 1 3 | 73.0 | 1.295 | 29 |
| 0 1 2 | 21.6 | 4.107 | 23 |

---

This entry pairs a crystal structure of TbBe13 with its simulated XRD peak list. Radiation: Cu Kα (weighted mean of Kα1 and Kα2). Structure: a cell relaxed with GGA-PBE.
No peak broadening, texture or thermal motion is included.

Structure:
Lattice parameters (Å, degrees): 10.193 10.193 10.193 90.00 90.00 90.00
Space group Fm-3c (No. 226)
Asymmetric unit:
Tb (0.250, 0.250, 0.250) [8 per cell]
Be (0.000, 0.000, 0.000) [8 per cell]
Be (0.000, 0.114, 0.176) [96 per cell]

Principal peaks in the range 15 to 90 degrees two-theta, in order of falling intensity:
| hkl | Position (°2θ) | d [Å] | intensity |
| --- | --- | --- | --- |
| 2 2 0 | 24.7 | 3.604 | 100 |
| 2 0 0 | 17.4 | 5.096 | 90 |
| 4 2 0 | 39.5 | 2.279 | 72 |
| 4 2 2 | 43.5 | 2.081 | 61 |
| 2 2 2 | 30.4 | 2.942 | 44 |
| 6 4 2 | 68.9 | 1.362 | 28 |
| 6 2 0 | 57.2 | 1.612 | 25 |
| 4 4 2 | 54.0 | 1.699 | 23 |

---

What did the first record say?
This entry pairs a crystal structure of Ta4Be with its simulated XRD peak list. Radiation: Cu Kα (weighted mean of Kα1 and Kα2). Structure: a cell relaxed with GGA-PBE.
No peak broadening, texture or thermal motion is included.

Structure:
Lattice parameters (Å, degrees): 9.031 9.031 9.031 90.00 90.00 90.00
Space group Fd-3m (No. 227, origin choice 2)
Asymmetric unit:
Ta (0.014, 0.014, 0.236) [32 per cell]
Be (0.125, 0.125, 0.625) [8 per cell]

Principal peaks in the range 15 to 90 degrees two-theta, in order of falling intensity:
| hkl | Position (°2θ) | d [Å] | intensity |
| --- | --- | --- | --- |
| 2 2 2 | 34.4 | 2.607 | 100 |
| 4 0 0 | 39.9 | 2.258 | 48 |
| 6 2 2 | 69.0 | 1.361 | 31 |
| 4 4 0 | 57.8 | 1.596 | 30 |
| 3 3 3 | 52.7 | 1.738 | 14 |
| 1 1 1 | 17.0 | 5.214 | 10 |
| 4 4 4 | 72.5 | 1.303 | 9 |
| 7 3 1 | 81.9 | 1.176 | 8 |